1.
Diffraction record for MnBe2Pt. The PXRD pattern is theoretical, not measured: it uses a PBE-relaxed structure and Cu Kα X-rays.

```
data_MnBe2Pt
_space_group_name_H-M_alt 'P 1'
_space_group_IT_number 1
_space_group_name_Hall 'P 1'
_cell_length_a 5.5859
_cell_length_b 5.5859
_cell_length_c 5.5859
_cell_angle_alpha 90.00
_cell_angle_beta 90.00
_cell_angle_gamma 90.00
loop_
_atom_site_label
_atom_site_type_symbol
_atom_site_fract_x
_atom_site_fract_y
_atom_site_fract_z
Mn1 Mn 0.0000 0.0000 0.0000
Mn2 Mn 0.0000 0.5000 0.5000
Mn3 Mn 0.5000 0.0000 0.5000
Mn4 Mn 0.5000 0.5000 0.0000
Be1 Be 0.2500 0.2500 0.2500
Be2 Be 0.2500 0.2500 0.7500
Be3 Be 0.2500 0.7500 0.2500
Be4 Be 0.2500 0.7500 0.7500
Be5 Be 0.7500 0.2500 0.2500
Be6 Be 0.7500 0.2500 0.7500
Be7 Be 0.7500 0.7500 0.2500
Be8 Be 0.7500 0.7500 0.7500
Pt1 Pt 0.0000 0.0000 0.5000
Pt2 Pt 0.0000 0.5000 0.0000
Pt3 Pt 0.5000 0.0000 0.0000
Pt4 Pt 0.5000 0.5000 0.5000
```

Most intense lines, 10 to 90 degrees two-theta, most intense first:
2θ 32.0, rel. 1000, hkl 2 0 0; 2θ 46.0, rel. 893, hkl 2 2 0; 2θ 27.7, rel. 629, hkl 1 1 1; 2θ 76.2, rel. 326, hkl 4 2 0; 2θ 54.5, rel. 316, hkl 3 1 1; 2θ 85.1, rel. 303, hkl 4 2 2; 2θ 57.1, rel. 258, hkl 2 2 2; 2θ 67.0, rel. 143, hkl 4 0 0



2.
Diffraction record for InNi3N. The PXRD pattern is theoretical, not measured: it uses a PBE-relaxed structure and Cu Kα X-rays.

```
data_InNi3N
_space_group_name_H-M_alt 'P 1'
_space_group_IT_number 1
_space_group_name_Hall 'P 1'
_cell_length_a 3.8742
_cell_length_b 3.8742
_cell_length_c 3.8742
_cell_angle_alpha 90.00
_cell_angle_beta 90.00
_cell_angle_gamma 90.00
loop_
_atom_site_label
_atom_site_type_symbol
_atom_site_fract_x
_atom_site_fract_y
_atom_site_fract_z
In1 In 0.0000 0.0000 0.0000
Ni1 Ni 0.0000 0.5000 0.5000
Ni2 Ni 0.5000 0.0000 0.5000
Ni3 Ni 0.5000 0.5000 0.0000
N1 N 0.5000 0.5000 0.5000
```

Most intense lines, 10 to 90 degrees two-theta, most intense first:
2θ 40.3, rel. 1000, hkl 1 1 1; 2θ 46.9, rel. 559, hkl 2 0 0; 2θ 82.6, rel. 340, hkl 3 1 1; 2θ 68.5, rel. 331, hkl 2 2 0; 2θ 32.7, rel. 128, hkl 1 1 0; 2θ 87.2, rel. 113, hkl 2 2 2; 2θ 23.0, rel. 47, hkl 1 0 0; 2θ 58.3, rel. 44, hkl 2 1 1



3.
Diffraction record for LiCuPO4. The PXRD pattern is theoretical, not measured: it uses a PBE-relaxed structure and Cu Kα X-rays.

```
data_LiCuPO4
_space_group_name_H-M_alt 'P 1'
_space_group_IT_number 1
_space_group_name_Hall 'P 1'
_cell_length_a 5.5406
_cell_length_b 6.0921
_cell_length_c 10.5556
_cell_angle_alpha 90.00
_cell_angle_beta 118.37
_cell_angle_gamma 90.00
loop_
_atom_site_label
_atom_site_type_symbol
_atom_site_fract_x
_atom_site_fract_y
_atom_site_fract_z
Li1 Li 0.2241 0.1390 0.0701
Li2 Li 0.2241 0.3610 0.5701
Li3 Li 0.7759 0.6390 0.4299
Li4 Li 0.7759 0.8610 0.9299
Cu1 Cu 0.2055 0.6139 0.8576
Cu2 Cu 0.2055 0.8861 0.3576
Cu3 Cu 0.7945 0.1139 0.6424
Cu4 Cu 0.7945 0.3861 0.1424
P1 P 0.3569 0.6469 0.1327
P2 P 0.3569 0.8531 0.6327
P3 P 0.6431 0.1469 0.3673
P4 P 0.6431 0.3531 0.8673
O1 O 0.2354 0.6555 0.2370
O2 O 0.2354 0.8445 0.7370
O3 O 0.2382 0.6654 0.5170
O4 O 0.2382 0.8346 0.0170
O5 O 0.2723 0.0617 0.5340
O6 O 0.2723 0.4383 0.0340
O7 O 0.3224 0.1396 0.2770
O8 O 0.3224 0.3604 0.7770
O9 O 0.6776 0.6396 0.2230
O10 O 0.6776 0.8604 0.7230
O11 O 0.7277 0.5617 0.9660
O12 O 0.7277 0.9383 0.4660
O13 O 0.7618 0.1654 0.9830
O14 O 0.7618 0.3346 0.4830
O15 O 0.7646 0.1555 0.2630
O16 O 0.7646 0.3445 0.7630
```

Most intense lines, 10 to 90 degrees two-theta, most intense first:
2θ 17.4, rel. 1000, hkl 0 1 1; 2θ 23.4, rel. 887, hkl 1 1 0; 2θ 36.9, rel. 441, hkl 2 0 0; 2θ 32.4, rel. 329, hkl 0 1 3; 2θ 33.6, rel. 316, hkl 1 2 -1; 2θ 39.4, rel. 297, hkl 1 2 -3; 2θ 51.5, rel. 223, hkl 1 2 3; 2θ 36.5, rel. 212, hkl 2 1 -1